[1]
Structure and calculated powder diffractogram of Cd4BiPd7 (the PBE geometry in Alexandria; Cu Kα, 1.54184 Å).
Lines closer than 0.1° are merged.

Cell and atoms:
Lattice parameters (Å, degrees): 10.711 5.026 9.931 90.00 119.50 90.00
Space group C2/m (No. 12)
Asymmetric unit:
Cd: 0.090 0.000 0.269 x4
Cd: 0.235 0.500 0.163 x4
Bi: 0.000 0.500 0.500 x2
Pd: 0.000 0.000 0.500 x2
Pd: 0.062 0.500 0.834 x4
Pd: 0.141 0.000 0.022 x4
Pd: 0.212 0.500 0.424 x4

Peak list (10 most intense, 10° ≤ 2θ ≤ 80°, by angle)
- 2.886 Å, I = 29, hkl 0 0 3
- 2.594 Å, I = 17, hkl 4 0 -1
- 2.514 Å, I = 100, hkl 0 2 0
- 2.481 Å, I = 13, hkl 2 0 -4
- 2.275 Å, I = 36, hkl 3 1 1
- 2.191 Å, I = 25, hkl 1 1 3
- 2.179 Å, I = 18, hkl 3 1 -4
- 2.150 Å, I = 23, hkl 1 1 -4
- 1.778 Å, I = 28, hkl 4 2 -3
- 1.765 Å, I = 13, hkl 2 2 -4

=====

[2]
Structure and calculated powder diffractogram of Ba4Ir (the PBE geometry in Alexandria; Cu Kα, 1.54184 Å).
Lines closer than 0.1° are merged.

Cell and atoms:
Lattice parameters (Å, degrees): 14.860 15.377 9.155 90.00 90.00 90.00
Space group Fdd2 (No. 43)
Asymmetric unit:
Ba: 0.114 0.414 0.000 x16
Ba: 0.115 0.408 0.523 x16
Ir: 0.000 0.000 0.275 x8

Peak list (10 most intense, 10° ≤ 2θ ≤ 80°, by angle)
- 6.952 Å, I = 56, hkl 1 1 1
- 5.343 Å, I = 31, hkl 2 2 0
- 3.476 Å, I = 100, hkl 2 2 2
- 3.414 Å, I = 38, hkl 2 4 0
- 2.701 Å, I = 40, hkl 4 2 2
- 2.671 Å, I = 29, hkl 4 4 0
- 2.289 Å, I = 18, hkl 0 0 4
- 2.236 Å, I = 34, hkl 0 6 2
- 2.096 Å, I = 21, hkl 6 2 2
- 1.859 Å, I = 18, hkl 8 0 0

=====

[3]
Structure and calculated powder diffractogram of YZn12Ni7 (the PBE geometry in Alexandria; Cu Kα, 1.54184 Å).
Lines closer than 0.1° are merged.

Cell and atoms:
Lattice parameters (Å, degrees): 8.733 8.733 8.733 90.00 90.00 90.00
Space group Im-3 (No. 204)
Asymmetric unit:
Y: 0.000 0.000 0.000 x2
Zn: 0.000 0.239 0.345 x24
Ni: 0.000 0.000 0.500 x6
Ni: 0.250 0.250 0.250 x8

Peak list (10 most intense, 10° ≤ 2θ ≤ 80°, by angle)
- 6.175 Å, I = 38, hkl 1 1 0
- 3.565 Å, I = 36, hkl 2 1 1
- 3.088 Å, I = 32, hkl 2 2 0
- 2.762 Å, I = 54, hkl 3 1 0
- 2.521 Å, I = 20, hkl 2 2 2
- 2.334 Å, I = 42, hkl 3 2 1
- 2.183 Å, I = 68, hkl 4 0 0
- 1.953 Å, I = 58, hkl 4 2 0
- 1.862 Å, I = 17, hkl 3 3 2
- 1.783 Å, I = 100, hkl 4 2 2